# 1
Structure and simulated powder X-ray diffraction pattern of Cs3Li2AgCl6 (a cell relaxed with PBE; Cu Kα X-rays).
Kinematic intensities with the Lorentz-polarization factor, no thermal factor.

Largest 10 diffraction maxima, in order of rising 2θ, 5 to 70 degrees two-theta:
8.835 Å, I = 57.1
6.611 Å, I = 39.8
5.293 Å, I = 39.7
3.817 Å, I = 100.0
3.673 Å, I = 87.7
3.096 Å, I = 84.4
2.888 Å, I = 29.6
2.647 Å, I = 94.6
2.175 Å, I = 42.0
1.908 Å, I = 38.0

Atomic structure:
a = 7.633 Å, b = 7.633 Å, c = 8.835 Å
α = 90.00°, β = 90.00°, γ = 120.00°
Element x y z (fractional)
Cs: 0.000 0.000 0.000
Cs: 0.333 0.667 0.640
Cs: 0.667 0.333 0.360
Li: 0.333 0.667 0.250
Li: 0.667 0.333 0.750
Ag: 0.000 0.000 0.500
Cl: 0.167 0.334 0.299
Cl: 0.167 0.833 0.299
Cl: 0.334 0.167 0.701
Cl: 0.666 0.833 0.299
Cl: 0.833 0.167 0.701
Cl: 0.833 0.666 0.701


# 2
Structure and simulated powder X-ray diffraction pattern of CsLa3F10 (a cell relaxed with PBE; Cu Kα X-rays).
Kinematic intensities with the Lorentz-polarization factor, no thermal factor.

Largest 10 diffraction maxima, in order of rising 2θ, 5 to 70 degrees two-theta:
3.604 Å, I = 100.0
3.121 Å, I = 41.3
2.402 Å, I = 5.3
2.207 Å, I = 48.6
2.110 Å, I = 3.3
1.882 Å, I = 57.5
1.802 Å, I = 13.8
1.560 Å, I = 8.5
1.432 Å, I = 20.2
1.396 Å, I = 14.4

Atomic structure:
a = 8.827 Å, b = 8.827 Å, c = 8.827 Å
α = 60.00°, β = 60.00°, γ = 60.00°
Element x y z (fractional)
Cs: 0.250 0.250 0.250
Cs: 0.750 0.750 0.750
La: 0.240 0.240 0.760
La: 0.240 0.760 0.240
La: 0.240 0.760 0.760
La: 0.760 0.240 0.240
La: 0.760 0.240 0.760
La: 0.760 0.760 0.240
F: 0.110 0.110 0.110
F: 0.110 0.110 0.671
F: 0.110 0.671 0.110
F: 0.172 0.500 0.500
F: 0.172 0.500 0.828
F: 0.172 0.828 0.500
F: 0.329 0.890 0.890
F: 0.500 0.172 0.500
F: 0.500 0.172 0.828
F: 0.500 0.500 0.172
F: 0.500 0.500 0.828
F: 0.500 0.828 0.172
F: 0.500 0.828 0.500
F: 0.671 0.110 0.110
F: 0.828 0.172 0.500
F: 0.828 0.500 0.172
F: 0.828 0.500 0.500
F: 0.890 0.329 0.890
F: 0.890 0.890 0.329
F: 0.890 0.890 0.890


# 3
Structure and simulated powder X-ray diffraction pattern of Ca2La2Sm5 (a cell relaxed with PBE; Cu Kα X-rays).
Kinematic intensities with the Lorentz-polarization factor, no thermal factor.

Largest 10 diffraction maxima, in order of rising 2θ, 5 to 70 degrees two-theta:
3.032 Å, I = 100.0
3.026 Å, I = 48.8
3.000 Å, I = 48.2
2.635 Å, I = 34.8
2.614 Å, I = 32.6
2.605 Å, I = 32.5
1.848 Å, I = 23.5
1.590 Å, I = 14.4
1.585 Å, I = 14.1
1.577 Å, I = 27.0

Atomic structure:
a = 6.434 Å, b = 6.441 Å, c = 8.217 Å
α = 82.55°, β = 74.71°, γ = 80.83°
Element x y z (fractional)
Ca: 0.224 0.443 0.113
Ca: 0.776 0.557 0.887
La: 0.113 0.205 0.567
La: 0.887 0.795 0.433
Sm: 0.000 0.000 0.000
Sm: 0.338 0.671 0.651
Sm: 0.449 0.897 0.226
Sm: 0.551 0.103 0.774
Sm: 0.662 0.329 0.349


# 4
Structure and simulated powder X-ray diffraction pattern of K2Tl6Pd (a cell relaxed with PBE; Cu Kα X-rays).
Kinematic intensities with the Lorentz-polarization factor, no thermal factor.

Largest 10 diffraction maxima, in order of rising 2θ, 5 to 70 degrees two-theta:
6.220 Å, I = 18.9
4.396 Å, I = 20.5
3.109 Å, I = 37.3
2.782 Å, I = 100.0
2.351 Å, I = 13.0
2.198 Å, I = 33.4
1.796 Å, I = 23.0
1.724 Å, I = 15.2
1.555 Å, I = 17.9
1.509 Å, I = 16.4

Atomic structure:
a = 7.185 Å, b = 7.185 Å, c = 6.212 Å
α = 90.00°, β = 90.00°, γ = 120.00°
Element x y z (fractional)
K: 0.333 0.667 0.195
K: 0.667 0.333 0.805
Tl: 0.172 0.344 0.699
Tl: 0.172 0.828 0.699
Tl: 0.344 0.172 0.301
Tl: 0.656 0.828 0.699
Tl: 0.828 0.172 0.301
Tl: 0.828 0.656 0.301
Pd: 0.000 0.000 0.000


# 5
Structure and simulated powder X-ray diffraction pattern of Hf2TaBiCl (a cell relaxed with PBE; Cu Kα X-rays).
Kinematic intensities with the Lorentz-polarization factor, no thermal factor.

Largest 10 diffraction maxima, in order of rising 2θ, 5 to 70 degrees two-theta:
4.629 Å, I = 1.5
2.809 Å, I = 100.0
2.734 Å, I = 28.3
2.314 Å, I = 35.6
1.767 Å, I = 31.5
1.637 Å, I = 12.3
1.593 Å, I = 19.0
1.414 Å, I = 25.7
1.404 Å, I = 14.9
1.367 Å, I = 3.4

Atomic structure:
a = 4.629 Å, b = 4.629 Å, c = 5.469 Å
α = 90.00°, β = 90.00°, γ = 90.00°
Element x y z (fractional)
Hf: 0.000 0.500 0.000
Hf: 0.500 0.000 0.000
Ta: 0.000 0.000 0.500
Bi: 0.500 0.500 0.500
Cl: 0.500 0.500 0.000


# 6
Structure and simulated powder X-ray diffraction pattern of RbNbPd2Br (a cell relaxed with PBE; Cu Kα X-rays).
Kinematic intensities with the Lorentz-polarization factor, no thermal factor.

Largest 10 diffraction maxima, in order of rising 2θ, 5 to 70 degrees two-theta:
8.591 Å, I = 100.0
3.152 Å, I = 32.7
3.036 Å, I = 22.7
3.006 Å, I = 18.3
2.595 Å, I = 17.1
2.563 Å, I = 69.2
2.255 Å, I = 21.7
2.196 Å, I = 27.0
2.020 Å, I = 17.9
1.729 Å, I = 22.5

Atomic structure:
a = 8.930 Å, b = 3.458 Å, c = 8.597 Å
α = 90.00°, β = 92.07°, γ = 90.00°
Element x y z (fractional)
Rb: 0.000 0.000 0.000
Rb: 0.500 0.500 0.000
Nb: 0.153 0.000 0.474
Nb: 0.653 0.500 0.474
Pd: 0.233 0.500 0.263
Pd: 0.447 0.000 0.382
Pd: 0.733 0.000 0.263
Pd: 0.947 0.500 0.382
Br: 0.208 0.500 0.721
Br: 0.708 0.000 0.721


What did the first record say?
Structure and simulated powder X-ray diffraction pattern of Cs3Li2AgCl6 (a cell relaxed with PBE; Cu Kα X-rays).
Kinematic intensities with the Lorentz-polarization factor, no thermal factor.

Largest 10 diffraction maxima, in order of rising 2θ, 5 to 70 degrees two-theta:
8.835 Å, I = 57.1
6.611 Å, I = 39.8
5.293 Å, I = 39.7
3.817 Å, I = 100.0
3.673 Å, I = 87.7
3.096 Å, I = 84.4
2.888 Å, I = 29.6
2.647 Å, I = 94.6
2.175 Å, I = 42.0
1.908 Å, I = 38.0

Atomic structure:
a = 7.633 Å, b = 7.633 Å, c = 8.835 Å
α = 90.00°, β = 90.00°, γ = 120.00°
Element x y z (fractional)
Cs: 0.000 0.000 0.000
Cs: 0.333 0.667 0.640
Cs: 0.667 0.333 0.360
Li: 0.333 0.667 0.250
Li: 0.667 0.333 0.750
Ag: 0.000 0.000 0.500
Cl: 0.167 0.334 0.299
Cl: 0.167 0.833 0.299
Cl: 0.334 0.167 0.701
Cl: 0.666 0.833 0.299
Cl: 0.833 0.167 0.701
Cl: 0.833 0.666 0.701